Entry 1:
This entry pairs a crystal structure of LaTb2Ho5Th with its computed X-ray diffraction stick pattern. Radiation: Cu Kα X-rays. Structure: a DFT-relaxed cell (GGA-PBE, Alexandria).
Neutral-atom scattering factors, no anomalous dispersion.

Top 12 peaks for 10° ≤ 2θ ≤ 90°, sorted by position:
| 2θ (°) | d [Å] | I/Imax |
| --- | --- | --- |
| 28.31 | 3.153 | 23 |
| 30.38 | 2.942 | 47 |
| 31.84 | 2.810 | 42 |
| 32.45 | 2.759 | 100 |
| 34.09 | 2.630 | 12 |
| 43.12 | 2.098 | 15 |
| 47.34 | 1.920 | 10 |
| 51.49 | 1.775 | 13 |
| 57.12 | 1.612 | 20 |
| 60.00 | 1.542 | 15 |
| 61.82 | 1.501 | 14 |
| 78.51 | 1.218 | 11 |

Structure:
a = 10.3053 Å, b = 10.3053 Å, c = 10.5208 Å
α = 90.00°, β = 90.00°, γ = 148.35°
Atoms (fractional coordinates):
La  0.0844  0.9156  0.5000
La  0.9156  0.0844  0.0000
Tb  0.3874  0.6126  0.3704
Tb  0.3869  0.6131  0.7851
Tb  0.6131  0.3869  0.2851
Tb  0.6126  0.3874  0.8704
Ho  0.0211  0.9789  0.7878
Ho  0.1137  0.8863  0.0767
Ho  0.2042  0.7958  0.7614
Ho  0.2227  0.7773  0.3686
Ho  0.4836  0.5164  0.0787
Ho  0.5164  0.4836  0.5787
Ho  0.7773  0.2227  0.8686
Ho  0.7958  0.2042  0.2614
Ho  0.8863  0.1137  0.5767
Ho  0.9789  0.0211  0.2878
Th  0.2977  0.7023  0.0663
Th  0.7023  0.2977  0.5663

Entry 2:
This entry pairs a crystal structure of V5Si5W with its computed X-ray diffraction stick pattern. Radiation: Cu Kα X-rays. Structure: a DFT-relaxed cell (GGA-PBE, Alexandria).
Neutral-atom scattering factors, no anomalous dispersion.

Top 12 peaks for 10° ≤ 2θ ≤ 90°, sorted by position:
| 2θ (°) | d [Å] | I/Imax |
| --- | --- | --- |
| 16.02 | 5.531 | 75 |
| 18.45 | 4.809 | 38 |
| 24.05 | 3.700 | 66 |
| 26.84 | 3.322 | 36 |
| 30.85 | 2.898 | 58 |
| 34.58 | 2.594 | 50 |
| 37.40 | 2.404 | 86 |
| 38.23 | 2.354 | 43 |
| 38.41 | 2.343 | 100 |
| 38.60 | 2.332 | 50 |
| 45.33 | 2.001 | 63 |
| 54.69 | 1.678 | 53 |

Structure:
a = 6.2364 Å, b = 6.2364 Å, c = 6.2288 Å
α = 105.58°, β = 105.58°, γ = 44.14°
Atoms (fractional coordinates):
V  0.0000  0.0000  0.0000
V  0.3493  0.3493  0.1350
V  0.4003  0.4003  0.7823
V  0.5997  0.5997  0.2177
V  0.6507  0.6507  0.8650
Si  0.1903  0.1903  0.7889
Si  0.1970  0.1970  0.3873
Si  0.5000  0.5000  0.5000
Si  0.8030  0.8030  0.6127
Si  0.8097  0.8097  0.2111
W  0.0000  0.0000  0.5000